(1)
Diffraction record for BaSi2Pd3. The X-ray powder pattern is computed, not measured: it uses the GGA-PBE geometry in Alexandria and a wavelength of 1.5418 Å.

Structural model:
abc: 7.941 7.941 7.847
angles: 111.25 111.25 30.69
Positions (direct):
1 Ba 0.166 0.166 0.074
2 Ba 0.834 0.834 0.926
3 Si 0.167 0.167 0.614
4 Si 0.483 0.483 0.833
5 Si 0.517 0.517 0.167
6 Si 0.833 0.833 0.386
7 Pd 0.030 0.030 0.338
8 Pd 0.320 0.320 0.579
9 Pd 0.404 0.404 0.325
10 Pd 0.596 0.596 0.675
11 Pd 0.680 0.680 0.421
12 Pd 0.970 0.970 0.662

Largest 8 diffraction maxima, low angle first, 10° ≤ 2θ ≤ 90°:
2θ 12.17, I = 30; 2θ 31.33, I = 19; 2θ 31.59, I = 24; 2θ 32.69, I = 35; 2θ 33.78, I = 100; 2θ 34.31, I = 24; 2θ 38.57, I = 54; 2θ 43.04, I = 39

(2)
Diffraction record for NdSc2Hg6. The X-ray powder pattern is computed, not measured: it uses the GGA-PBE geometry in Alexandria and a wavelength of 1.5418 Å.

Structural model:
abc: 12.232 12.232 12.232
angles: 158.45 158.45 30.66
Positions (direct):
1 Nd 0.000 0.000 0.000
2 Sc 0.328 0.328 0.000
3 Sc 0.672 0.672 0.000
4 Hg 0.095 0.595 0.500
5 Hg 0.250 0.750 0.500
6 Hg 0.405 0.905 0.500
7 Hg 0.595 0.095 0.500
8 Hg 0.750 0.250 0.500
9 Hg 0.905 0.405 0.500

Largest 8 diffraction maxima, low angle first, 10° ≤ 2θ ≤ 90°:
2θ 22.61, I = 34; 2θ 27.58, I = 49; 2θ 35.96, I = 100; 2θ 39.41, I = 43; 2θ 45.90, I = 25; 2θ 56.95, I = 15; 2θ 62.08, I = 18; 2θ 69.22, I = 34

(3)
Diffraction record for Pm2Zn3PdPt4. The X-ray powder pattern is computed, not measured: it uses the GGA-PBE geometry in Alexandria and a wavelength of 1.5418 Å.

Structural model:
abc: 4.066 4.066 11.505
angles: 90.00 90.00 90.00
Positions (direct):
1 Pm 0.000 0.500 0.248
2 Pm 0.500 0.000 0.752
3 Zn 0.000 0.500 0.868
4 Zn 0.500 0.000 0.132
5 Zn 0.500 0.500 0.500
6 Pd 0.000 0.000 0.500
7 Pt 0.000 0.000 0.000
8 Pt 0.000 0.500 0.653
9 Pt 0.500 0.000 0.347
10 Pt 0.500 0.500 0.000

Largest 8 diffraction maxima, low angle first, 10° ≤ 2θ ≤ 90°:
2θ 23.20, I = 19; 2θ 32.08, I = 41; 2θ 34.88, I = 100; 2θ 44.56, I = 73; 2θ 45.28, I = 31; 2θ 64.85, I = 20; 2θ 65.41, I = 24; 2θ 75.80, I = 21

(4)
Diffraction record for P3H12Se. The X-ray powder pattern is computed, not measured: it uses the GGA-PBE geometry in Alexandria and a wavelength of 1.5418 Å.

Structural model:
abc: 7.765 7.765 7.765
angles: 56.75 56.75 56.75
Positions (direct):
1 P 0.005 0.379 0.616
2 P 0.116 0.879 0.505
3 P 0.379 0.616 0.005
4 P 0.505 0.116 0.879
5 P 0.616 0.005 0.379
6 P 0.879 0.505 0.116
7 H 0.008 0.336 0.259
8 H 0.023 0.725 0.565
9 H 0.065 0.225 0.523
10 H 0.065 0.483 0.918
11 H 0.094 0.865 0.707
12 H 0.207 0.365 0.594
13 H 0.225 0.523 0.065
14 H 0.259 0.008 0.336
15 H 0.336 0.259 0.008
16 H 0.365 0.594 0.207
17 H 0.418 0.983 0.565
18 H 0.483 0.918 0.065
19 H 0.508 0.759 0.836
20 H 0.523 0.065 0.225
21 H 0.565 0.023 0.725
22 H 0.565 0.418 0.983
23 H 0.594 0.207 0.365
24 H 0.707 0.094 0.865
25 H 0.725 0.565 0.023
26 H 0.759 0.836 0.508
27 H 0.836 0.508 0.759
28 H 0.865 0.707 0.094
29 H 0.918 0.065 0.483
30 H 0.983 0.565 0.418
31 Se 0.012 0.012 0.012
32 Se 0.512 0.512 0.512

Largest 8 diffraction maxima, low angle first, 10° ≤ 2θ ≤ 90°:
2θ 16.59, I = 96; 2θ 22.96, I = 55; 2θ 27.48, I = 83; 2θ 27.81, I = 91; 2θ 29.42, I = 100; 2θ 33.55, I = 65; 2θ 42.43, I = 54; 2θ 51.30, I = 59

(5)
Diffraction record for La2B4Ir3. The X-ray powder pattern is computed, not measured: it uses the GGA-PBE geometry in Alexandria and a wavelength of 1.5418 Å.

Structural model:
abc: 7.228 6.162 5.472
angles: 76.56 56.02 47.42
Positions (direct):
1 La 0.156 0.156 0.844
2 La 0.844 0.844 0.156
3 B 0.190 0.543 0.457
4 B 0.457 0.810 0.190
5 B 0.543 0.190 0.810
6 B 0.810 0.457 0.543
7 Ir 0.000 0.000 0.500
8 Ir 0.500 0.500 0.000
9 Ir 0.500 0.500 0.500

Largest 8 diffraction maxima, low angle first, 10° ≤ 2θ ≤ 90°:
2θ 16.15, I = 100; 2θ 24.93, I = 30; 2θ 30.69, I = 82; 2θ 37.38, I = 83; 2θ 38.28, I = 40; 2θ 40.96, I = 41; 2θ 41.20, I = 43; 2θ 63.92, I = 34

(6)
Diffraction record for DyBiPd5. The X-ray powder pattern is computed, not measured: it uses the GGA-PBE geometry in Alexandria and a wavelength of 1.5418 Å.

Structural model:
abc: 5.851 5.851 5.851
angles: 124.62 104.40 100.56
Positions (direct):
1 Dy 0.000 0.000 0.000
2 Bi 0.325 0.825 0.500
3 Pd 0.190 0.505 0.684
4 Pd 0.354 0.354 0.000
5 Pd 0.687 0.431 0.744
6 Pd 0.687 0.944 0.256
7 Pd 0.821 0.505 0.316

Largest 8 diffraction maxima, low angle first, 10° ≤ 2θ ≤ 90°:
2θ 24.83, I = 80; 2θ 32.21, I = 67; 2θ 37.36, I = 94; 2θ 38.22, I = 100; 2θ 41.04, I = 44; 2θ 48.17, I = 40; 2θ 48.56, I = 33; 2θ 52.41, I = 32

(7)
Diffraction record for LaTlAsHCl. The X-ray powder pattern is computed, not measured: it uses the GGA-PBE geometry in Alexandria and a wavelength of 1.5418 Å.

Structural model:
abc: 4.054 4.053 7.621
angles: 90.00 105.03 90.00
Positions (direct):
1 La 0.000 0.000 0.000
2 Tl 0.713 0.000 0.438
3 As 0.151 0.500 0.312
4 H 0.566 0.000 0.135
5 Cl 0.426 0.500 0.847

Largest 8 diffraction maxima, low angle first, 10° ≤ 2θ ≤ 90°:
2θ 12.02, I = 47; 2θ 21.93, I = 37; 2θ 24.19, I = 57; 2θ 31.81, I = 100; 2θ 32.87, I = 67; 2θ 36.22, I = 51; 2θ 36.38, I = 49; 2θ 44.71, I = 47

(8)
Diffraction record for Sc2Si. The X-ray powder pattern is computed, not measured: it uses the GGA-PBE geometry in Alexandria and a wavelength of 1.5418 Å.

Structural model:
abc: 6.074 6.074 6.074
angles: 139.54 121.70 73.36
Positions (direct):
1 Sc 0.191 0.191 0.000
2 Sc 0.260 0.500 0.760
3 Sc 0.740 0.500 0.240
4 Sc 0.809 0.809 0.000
5 Si 0.362 0.862 0.500
6 Si 0.638 0.138 0.500

Largest 8 diffraction maxima, low angle first, 10° ≤ 2θ ≤ 90°:
2θ 34.92, I = 100; 2θ 35.50, I = 53; 2θ 38.34, I = 79; 2θ 43.07, I = 31; 2θ 56.99, I = 24; 2θ 61.06, I = 16; 2θ 73.71, I = 15; 2θ 73.92, I = 18

(9)
Diffraction record for Dy3Sc2In2. The X-ray powder pattern is computed, not measured: it uses the GGA-PBE geometry in Alexandria and a wavelength of 1.5418 Å.

Structural model:
abc: 5.160 3.252 11.297
angles: 90.00 103.18 90.00
Positions (direct):
1 Dy 0.000 0.000 0.000
2 Dy 0.288 0.000 0.577
3 Dy 0.712 0.000 0.423
4 Sc 0.137 0.000 0.274
5 Sc 0.863 0.000 0.726
6 In 0.423 0.500 0.847
7 In 0.577 0.500 0.153

Largest 8 diffraction maxima, low angle first, 10° ≤ 2θ ≤ 90°:
2θ 21.05, I = 34; 2θ 31.97, I = 20; 2θ 32.80, I = 41; 2θ 33.38, I = 100; 2θ 34.79, I = 76; 2θ 36.95, I = 18; 2θ 38.59, I = 29; 2θ 67.33, I = 25

(10)
Diffraction record for Zr3Mn8Al. The X-ray powder pattern is computed, not measured: it uses the GGA-PBE geometry in Alexandria and a wavelength of 1.5418 Å.

Structural model:
abc: 8.468 8.468 8.468
angles: 33.75 33.75 33.75
Positions (direct):
1 Zr 0.000 0.000 0.000
2 Zr 0.127 0.127 0.127
3 Zr 0.505 0.505 0.505
4 Mn 0.059 0.565 0.565
5 Mn 0.066 0.066 0.567
6 Mn 0.066 0.567 0.066
7 Mn 0.315 0.315 0.315
8 Mn 0.565 0.059 0.565
9 Mn 0.565 0.565 0.059
10 Mn 0.567 0.066 0.066
11 Mn 0.815 0.815 0.815
12 Al 0.628 0.628 0.628

Largest 8 diffraction maxima, low angle first, 10° ≤ 2θ ≤ 90°:
2θ 36.56, I = 26; 2θ 36.71, I = 26; 2θ 43.21, I = 100; 2θ 43.37, I = 33; 2θ 45.21, I = 30; 2θ 70.42, I = 15; 2θ 77.70, I = 15; 2θ 78.08, I = 15

(11)
Diffraction record for Cs2LiIrBr6. The X-ray powder pattern is computed, not measured: it uses the GGA-PBE geometry in Alexandria and a wavelength of 1.5418 Å.

Structural model:
abc: 8.039 9.637 8.568
angles: 90.00 90.00 90.00
Positions (direct):
1 Cs 0.250 0.008 0.227
2 Cs 0.250 0.492 0.227
3 Cs 0.750 0.508 0.773
4 Cs 0.750 0.992 0.773
5 Li 0.250 0.750 0.604
6 Li 0.750 0.250 0.396
7 Ir 0.250 0.250 0.745
8 Ir 0.750 0.750 0.255
9 Br 0.031 0.250 0.529
10 Br 0.031 0.250 0.952
11 Br 0.250 0.513 0.758
12 Br 0.250 0.987 0.758
13 Br 0.469 0.250 0.529
14 Br 0.469 0.250 0.952
15 Br 0.531 0.750 0.048
16 Br 0.531 0.750 0.471
17 Br 0.750 0.013 0.242
18 Br 0.750 0.487 0.242
19 Br 0.969 0.750 0.048
20 Br 0.969 0.750 0.471

Largest 8 diffraction maxima, low angle first, 10° ≤ 2θ ≤ 90°:
2θ 13.83, I = 48; 2θ 14.35, I = 48; 2θ 23.90, I = 44; 2θ 27.87, I = 45; 2θ 28.93, I = 43; 2θ 30.49, I = 100; 2θ 37.33, I = 39; 2θ 48.94, I = 51

(12)
Diffraction record for Pd7Pt6Au16. The X-ray powder pattern is computed, not measured: it uses the GGA-PBE geometry in Alexandria and a wavelength of 1.5418 Å.

Structural model:
abc: 9.078 9.078 9.078
angles: 60.00 60.00 60.00
Positions (direct):
1 Pd 0.000 0.000 0.000
2 Pd 0.000 0.000 0.500
3 Pd 0.000 0.500 0.000
4 Pd 0.000 0.500 0.500
5 Pd 0.500 0.000 0.000
6 Pd 0.500 0.000 0.500
7 Pd 0.500 0.500 0.000
8 Pt 0.340 0.340 0.660
9 Pt 0.340 0.660 0.340
10 Pt 0.340 0.660 0.660
11 Pt 0.660 0.340 0.340
12 Pt 0.660 0.340 0.660
13 Pt 0.660 0.660 0.340
14 Au 0.035 0.655 0.655
15 Au 0.120 0.120 0.120
16 Au 0.120 0.120 0.639
17 Au 0.120 0.639 0.120
18 Au 0.345 0.345 0.345
19 Au 0.345 0.345 0.965
20 Au 0.345 0.965 0.345
21 Au 0.361 0.880 0.880
22 Au 0.639 0.120 0.120
23 Au 0.655 0.035 0.655
24 Au 0.655 0.655 0.035
25 Au 0.655 0.655 0.655
26 Au 0.880 0.361 0.880
27 Au 0.880 0.880 0.361
28 Au 0.880 0.880 0.880
29 Au 0.965 0.345 0.345

Largest 8 diffraction maxima, low angle first, 10° ≤ 2θ ≤ 90°:
2θ 27.80, I = 28; 2θ 34.22, I = 22; 2θ 36.36, I = 85; 2θ 39.72, I = 100; 2θ 41.62, I = 30; 2θ 42.24, I = 39; 2θ 61.27, I = 19; 2θ 73.38, I = 36

(13)
Diffraction record for CaTa4Hg. The X-ray powder pattern is computed, not measured: it uses the GGA-PBE geometry in Alexandria and a wavelength of 1.5418 Å.

Structural model:
abc: 5.652 5.652 5.652
angles: 60.00 60.00 60.00
Positions (direct):
1 Ca 0.000 0.000 0.000
2 Ta 0.372 0.372 0.372
3 Ta 0.372 0.372 0.883
4 Ta 0.372 0.883 0.372
5 Ta 0.883 0.372 0.372
6 Hg 0.750 0.750 0.750

Largest 8 diffraction maxima, low angle first, 10° ≤ 2θ ≤ 90°:
2θ 19.23, I = 26; 2θ 31.66, I = 16; 2θ 37.31, I = 100; 2θ 39.04, I = 54; 2θ 60.15, I = 35; 2θ 66.13, I = 30; 2θ 78.46, I = 12; 2θ 79.55, I = 21